The following is a calculated X-ray powder pattern of BaCaZnF6. It was derived from a PBE-relaxed structure, using Cu Kα (λ = 1.5418 Å).
Lines closer than 0.1° are merged.

Atomic structure:
Cell lengths 7.3061, 7.3061, 7.3061 Å; angles 119.94, 119.41, 90.56 degrees
Fractional positions:
Ba1 0.3369 0.0869 0.2500
Ba2 0.6631 0.9131 0.7500
Ca1 0.0000 0.5000 0.5000
Ca2 0.5000 0.5000 0.0000
Zn1 0.0000 0.0000 0.5000
Zn2 0.0000 0.5000 0.0000
F1 0.0597 0.3166 0.1457
F2 0.0597 0.9141 0.7431
F3 0.1000 0.3500 0.7500
F4 0.3291 0.0859 0.6457
F5 0.3291 0.6834 0.2431
F6 0.3833 0.6333 0.7500
F7 0.6167 0.3667 0.2500
F8 0.6709 0.3166 0.7569
F9 0.6709 0.9141 0.3543
F10 0.9000 0.6500 0.2500
F11 0.9403 0.0859 0.2569
F12 0.9403 0.6834 0.8543

Principal peaks in the range 2θ from 15° to 90°, low angle first:
- 24.36°, I 81.9
- 28.48°, I 56.7
- 28.60°, I 100.0
- 28.73°, I 73.7
- 45.40°, I 52.5
- 49.92°, I 81.7

=====

The following is a calculated X-ray powder pattern of BaCaFe4. It was derived from a PBE-relaxed structure, using Cu Kα (λ = 1.5418 Å).
Lines closer than 0.1° are merged.

Atomic structure:
Cell lengths 5.3784, 5.3784, 5.3784 Å; angles 60.00, 60.00, 60.00 degrees
Fractional positions:
Ba1 0.0000 0.0000 0.0000
Ca1 0.7500 0.7500 0.7500
Fe1 0.3820 0.3820 0.3820
Fe2 0.3820 0.3820 0.8539
Fe3 0.3820 0.8539 0.3820
Fe4 0.8539 0.3820 0.3820

Principal peaks in the range 2θ from 15° to 90°, low angle first:
- 23.39°, I 19.4
- 33.32°, I 40.7
- 39.29°, I 100.0
- 41.11°, I 30.3
- 63.56°, I 32.9
- 69.97°, I 22.1